(1)
The following is a calculated XRD peak list of B8Ru11. It was derived from DFT lattice parameters and positions (PBE), using Cu Kα (weighted mean of Kα1 and Kα2).
No peak broadening, texture or thermal motion is included.

Principal peaks in the range 2θ from 10° to 90°, sorted by position:
- 32.13°, I 58
- 35.60°, I 44
- 37.98°, I 87
- 38.21°, I 69
- 38.40°, I 62
- 39.37°, I 44
- 39.69°, I 86
- 41.51°, I 80
- 43.66°, I 46
- 44.40°, I 100
- 45.33°, I 63
- 46.88°, I 50

Cell: 11.676 11.966 2.876 Å, 90.00 90.00 90.00°
Fractional coordinates of all 38 atoms:
B (0.122, 0.187, 0.000)
B (0.147, 0.521, 0.500)
B (0.149, 0.817, 0.500)
B (0.203, 0.233, 0.500)
B (0.297, 0.733, 0.500)
B (0.351, 0.317, 0.500)
B (0.353, 0.021, 0.500)
B (0.378, 0.687, 0.000)
B (0.622, 0.313, 0.000)
B (0.647, 0.979, 0.500)
B (0.649, 0.683, 0.500)
B (0.703, 0.267, 0.500)
B (0.797, 0.767, 0.500)
B (0.851, 0.183, 0.500)
B (0.853, 0.479, 0.500)
B (0.878, 0.813, 0.000)
Ru (0.000, 0.500, 0.000)
Ru (0.032, 0.300, 0.500)
Ru (0.044, 0.897, 0.000)
Ru (0.164, 0.047, 0.500)
Ru (0.168, 0.671, 0.000)
Ru (0.215, 0.384, 0.000)
Ru (0.285, 0.884, 0.000)
Ru (0.332, 0.171, 0.000)
Ru (0.336, 0.547, 0.500)
Ru (0.456, 0.397, 0.000)
Ru (0.468, 0.800, 0.500)
Ru (0.500, 0.000, 0.000)
Ru (0.532, 0.200, 0.500)
Ru (0.544, 0.603, 0.000)
Ru (0.664, 0.453, 0.500)
Ru (0.668, 0.829, 0.000)
Ru (0.715, 0.116, 0.000)
Ru (0.785, 0.616, 0.000)
Ru (0.832, 0.329, 0.000)
Ru (0.836, 0.953, 0.500)
Ru (0.956, 0.103, 0.000)
Ru (0.968, 0.700, 0.500)



(2)
The following is a calculated XRD peak list of SmB2Ru3. It was derived from DFT lattice parameters and positions (PBE), using Cu Kα (weighted mean of Kα1 and Kα2).
No peak broadening, texture or thermal motion is included.

Principal peaks in the range 2θ from 10° to 90°, sorted by position:
- 29.33°, I 7
- 34.89°, I 71
- 37.45°, I 100
- 44.18°, I 44
- 48.27°, I 13
- 59.27°, I 31
- 60.85°, I 9
- 65.92°, I 13
- 67.57°, I 19
- 73.68°, I 27
- 78.35°, I 14
- 79.89°, I 11

Cell: 5.546 5.546 3.045 Å, 90.00 90.00 120.00°
Fractional coordinates of all 6 atoms:
Sm (0.000, 0.000, 0.000)
B (0.333, 0.667, 0.000)
B (0.667, 0.333, 0.000)
Ru (0.000, 0.500, 0.500)
Ru (0.500, 0.000, 0.500)
Ru (0.500, 0.500, 0.500)



(3)
The following is a calculated XRD peak list of Sr2B8Ru7. It was derived from DFT lattice parameters and positions (PBE), using Cu Kα (weighted mean of Kα1 and Kα2).
No peak broadening, texture or thermal motion is included.

Principal peaks in the range 2θ from 10° to 90°, sorted by position:
- 28.96°, I 21
- 30.92°, I 18
- 32.17°, I 19
- 35.15°, I 42
- 35.68°, I 100
- 47.50°, I 15
- 47.91°, I 33
- 57.75°, I 15
- 63.40°, I 23
- 64.43°, I 15
- 75.56°, I 16
- 75.88°, I 18

Cell: 6.467 6.467 10.213 Å, 90.00 90.00 90.00°
Fractional coordinates of all 34 atoms:
Sr (0.109, 0.732, 0.000)
Sr (0.268, 0.109, 0.500)
Sr (0.732, 0.891, 0.500)
Sr (0.891, 0.268, 0.000)
B (0.000, 0.500, 0.411)
B (0.000, 0.500, 0.589)
B (0.102, 0.724, 0.331)
B (0.102, 0.724, 0.669)
B (0.276, 0.102, 0.169)
B (0.276, 0.102, 0.831)
B (0.500, 0.000, 0.089)
B (0.500, 0.000, 0.911)
B (0.500, 0.500, 0.159)
B (0.500, 0.500, 0.341)
B (0.500, 0.500, 0.659)
B (0.500, 0.500, 0.841)
B (0.724, 0.898, 0.169)
B (0.724, 0.898, 0.831)
B (0.898, 0.276, 0.331)
B (0.898, 0.276, 0.669)
Ru (0.000, 0.000, 0.250)
Ru (0.000, 0.000, 0.750)
Ru (0.206, 0.394, 0.256)
Ru (0.206, 0.394, 0.744)
Ru (0.287, 0.593, 0.500)
Ru (0.394, 0.794, 0.244)
Ru (0.394, 0.794, 0.756)
Ru (0.407, 0.287, 0.000)
Ru (0.593, 0.713, 0.000)
Ru (0.606, 0.206, 0.244)
Ru (0.606, 0.206, 0.756)
Ru (0.713, 0.407, 0.500)
Ru (0.794, 0.606, 0.256)
Ru (0.794, 0.606, 0.744)



(4)
The following is a calculated XRD peak list of TaBRu. It was derived from DFT lattice parameters and positions (PBE), using Cu Kα (weighted mean of Kα1 and Kα2).
No peak broadening, texture or thermal motion is included.

Principal peaks in the range 2θ from 10° to 90°, sorted by position:
- 30.38°, I 43
- 30.45°, I 15
- 32.04°, I 20
- 37.89°, I 14
- 38.83°, I 18
- 40.07°, I 41
- 40.66°, I 17
- 41.82°, I 64
- 41.89°, I 100
- 58.12°, I 19
- 67.01°, I 27
- 72.94°, I 14

Cell: 8.968 15.608 3.174 Å, 90.00 90.00 90.00°
Fractional coordinates of all 36 atoms:
Ta (0.016, 0.094, 0.000)
Ta (0.185, 0.704, 0.000)
Ta (0.199, 0.495, 0.000)
Ta (0.301, 0.995, 0.000)
Ta (0.315, 0.204, 0.000)
Ta (0.484, 0.594, 0.000)
Ta (0.516, 0.406, 0.000)
Ta (0.685, 0.796, 0.000)
Ta (0.699, 0.005, 0.000)
Ta (0.801, 0.505, 0.000)
Ta (0.815, 0.296, 0.000)
Ta (0.984, 0.906, 0.000)
B (0.105, 0.996, 0.500)
B (0.112, 0.332, 0.000)
B (0.216, 0.099, 0.500)
B (0.284, 0.599, 0.500)
B (0.388, 0.832, 0.000)
B (0.395, 0.496, 0.500)
B (0.605, 0.504, 0.500)
B (0.612, 0.168, 0.000)
B (0.716, 0.401, 0.500)
B (0.784, 0.901, 0.500)
B (0.888, 0.668, 0.000)
B (0.895, 0.004, 0.500)
Ru (0.016, 0.595, 0.500)
Ru (0.065, 0.235, 0.500)
Ru (0.219, 0.856, 0.500)
Ru (0.281, 0.356, 0.500)
Ru (0.435, 0.735, 0.500)
Ru (0.484, 0.095, 0.500)
Ru (0.516, 0.905, 0.500)
Ru (0.565, 0.265, 0.500)
Ru (0.719, 0.644, 0.500)
Ru (0.781, 0.144, 0.500)
Ru (0.935, 0.765, 0.500)
Ru (0.984, 0.405, 0.500)



(5)
The following is a calculated XRD peak list of Ta7B8Ru6. It was derived from DFT lattice parameters and positions (PBE), using Cu Kα (weighted mean of Kα1 and Kα2).
No peak broadening, texture or thermal motion is included.

Principal peaks in the range 2θ from 10° to 90°, sorted by position:
- 28.44°, I 32
- 30.56°, I 20
- 39.12°, I 72
- 40.75°, I 100
- 43.69°, I 42
- 47.79°, I 16
- 58.86°, I 13
- 59.12°, I 13
- 66.71°, I 26
- 69.90°, I 12
- 73.20°, I 23
- 78.13°, I 16

Cell: 9.586 9.586 3.125 Å, 90.00 90.00 120.00°
Fractional coordinates of all 21 atoms:
Ta (0.000, 0.000, 0.000)
Ta (0.086, 0.724, 0.000)
Ta (0.276, 0.362, 0.000)
Ta (0.362, 0.086, 0.000)
Ta (0.638, 0.914, 0.000)
Ta (0.724, 0.638, 0.000)
Ta (0.914, 0.276, 0.000)
B (0.066, 0.219, 0.500)
B (0.153, 0.934, 0.500)
B (0.219, 0.153, 0.500)
B (0.333, 0.667, 0.000)
B (0.667, 0.333, 0.000)
B (0.781, 0.847, 0.500)
B (0.847, 0.066, 0.500)
B (0.934, 0.781, 0.500)
Ru (0.154, 0.513, 0.500)
Ru (0.360, 0.846, 0.500)
Ru (0.487, 0.640, 0.500)
Ru (0.513, 0.360, 0.500)
Ru (0.640, 0.154, 0.500)
Ru (0.846, 0.487, 0.500)



(6)
The following is a calculated XRD peak list of TaBRu. It was derived from DFT lattice parameters and positions (PBE), using Cu Kα (weighted mean of Kα1 and Kα2).
No peak broadening, texture or thermal motion is included.

Principal peaks in the range 2θ from 10° to 90°, sorted by position:
- 28.08°, I 21
- 28.35°, I 20
- 31.15°, I 28
- 35.94°, I 24
- 37.65°, I 18
- 39.87°, I 29
- 40.07°, I 100
- 40.76°, I 30
- 43.34°, I 29
- 43.56°, I 42
- 43.83°, I 20
- 57.25°, I 21

Cell: 10.870 3.218 6.356 Å, 90.00 90.00 90.00°
Fractional coordinates of all 18 atoms:
Ta (0.044, 0.000, 0.223)
Ta (0.250, 0.000, 0.855)
Ta (0.456, 0.000, 0.223)
Ta (0.544, 0.000, 0.777)
Ta (0.750, 0.000, 0.145)
Ta (0.956, 0.000, 0.777)
B (0.085, 0.500, 0.951)
B (0.250, 0.000, 0.449)
B (0.415, 0.500, 0.951)
B (0.585, 0.500, 0.049)
B (0.750, 0.000, 0.551)
B (0.915, 0.500, 0.049)
Ru (0.125, 0.500, 0.574)
Ru (0.250, 0.500, 0.202)
Ru (0.375, 0.500, 0.574)
Ru (0.625, 0.500, 0.426)
Ru (0.750, 0.500, 0.798)
Ru (0.875, 0.500, 0.426)



(7)
The following is a calculated XRD peak list of Ta3B2Ru5. It was derived from DFT lattice parameters and positions (PBE), using Cu Kα (weighted mean of Kα1 and Kα2).
No peak broadening, texture or thermal motion is included.

Principal peaks in the range 2θ from 10° to 90°, sorted by position:
- 36.59°, I 71
- 39.24°, I 69
- 40.26°, I 39
- 42.55°, I 100
- 42.71°, I 38
- 45.83°, I 20
- 61.51°, I 16
- 65.27°, I 17
- 66.93°, I 20
- 71.00°, I 16
- 75.43°, I 20
- 78.10°, I 15

Cell: 9.467 9.467 3.015 Å, 90.00 90.00 90.00°
Fractional coordinates of all 20 atoms:
Ta (0.000, 0.000, 0.000)
Ta (0.176, 0.324, 0.000)
Ta (0.324, 0.824, 0.000)
Ta (0.500, 0.500, 0.000)
Ta (0.676, 0.176, 0.000)
Ta (0.824, 0.676, 0.000)
B (0.122, 0.622, 0.000)
B (0.378, 0.122, 0.000)
B (0.622, 0.878, 0.000)
B (0.878, 0.378, 0.000)
Ru (0.000, 0.500, 0.500)
Ru (0.071, 0.782, 0.500)
Ru (0.218, 0.071, 0.500)
Ru (0.282, 0.571, 0.500)
Ru (0.429, 0.282, 0.500)
Ru (0.500, 0.000, 0.500)
Ru (0.571, 0.718, 0.500)
Ru (0.718, 0.429, 0.500)
Ru (0.782, 0.929, 0.500)
Ru (0.929, 0.218, 0.500)



(8)
The following is a calculated XRD peak list of TbB2Ru3. It was derived from DFT lattice parameters and positions (PBE), using Cu Kα (weighted mean of Kα1 and Kα2).
No peak broadening, texture or thermal motion is included.

Principal peaks in the range 2θ from 10° to 90°, sorted by position:
- 29.38°, I 6
- 34.98°, I 74
- 37.67°, I 100
- 44.35°, I 45
- 48.47°, I 11
- 59.56°, I 32
- 60.94°, I 9
- 66.27°, I 13
- 67.99°, I 19
- 73.90°, I 27
- 78.81°, I 14
- 80.43°, I 11

Cell: 5.515 5.515 3.040 Å, 90.00 90.00 120.00°
Fractional coordinates of all 6 atoms:
Tb (0.000, 0.000, 0.000)
B (0.333, 0.667, 0.000)
B (0.667, 0.333, 0.000)
Ru (0.000, 0.500, 0.500)
Ru (0.500, 0.000, 0.500)
Ru (0.500, 0.500, 0.500)



(9)
The following is a calculated XRD peak list of TbB4Ru4. It was derived from DFT lattice parameters and positions (PBE), using Cu Kα (weighted mean of Kα1 and Kα2).
No peak broadening, texture or thermal motion is included.

Principal peaks in the range 2θ from 10° to 90°, sorted by position:
- 23.72°, I 15
- 32.14°, I 42
- 33.81°, I 20
- 39.87°, I 100
- 40.32°, I 26
- 43.98°, I 8
- 54.74°, I 15
- 60.48°, I 8
- 64.54°, I 16
- 64.62°, I 9
- 71.11°, I 25
- 84.77°, I 10

Cell: 9.191 9.191 9.191 Å, 131.88 131.88 70.42°
Fractional coordinates of all 36 atoms:
Tb (0.125, 0.375, 0.750)
Tb (0.375, 0.125, 0.250)
Tb (0.625, 0.875, 0.750)
Tb (0.875, 0.625, 0.250)
B (0.068, 0.126, 0.280)
B (0.126, 0.345, 0.058)
B (0.155, 0.374, 0.442)
B (0.213, 0.932, 0.558)
B (0.287, 0.845, 0.720)
B (0.345, 0.787, 0.220)
B (0.374, 0.432, 0.220)
B (0.432, 0.713, 0.058)
B (0.568, 0.287, 0.942)
B (0.626, 0.568, 0.780)
B (0.655, 0.213, 0.780)
B (0.713, 0.155, 0.280)
B (0.787, 0.068, 0.442)
B (0.845, 0.626, 0.558)
B (0.874, 0.655, 0.942)
B (0.932, 0.874, 0.720)
Ru (0.038, 0.822, 0.986)
Ru (0.052, 0.038, 0.716)
Ru (0.164, 0.678, 0.716)
Ru (0.178, 0.664, 0.216)
Ru (0.322, 0.538, 0.486)
Ru (0.336, 0.052, 0.514)
Ru (0.448, 0.164, 0.986)
Ru (0.462, 0.448, 0.784)
Ru (0.538, 0.552, 0.216)
Ru (0.552, 0.836, 0.014)
Ru (0.664, 0.948, 0.486)
Ru (0.678, 0.462, 0.514)
Ru (0.822, 0.336, 0.784)
Ru (0.836, 0.322, 0.284)
Ru (0.948, 0.962, 0.284)
Ru (0.962, 0.178, 0.014)



(10)
The following is a calculated XRD peak list of ThB2Ru3. It was derived from DFT lattice parameters and positions (PBE), using Cu Kα (weighted mean of Kα1 and Kα2).
No peak broadening, texture or thermal motion is included.

Principal peaks in the range 2θ from 10° to 90°, sorted by position:
- 18.43°, I 23
- 32.21°, I 10
- 34.60°, I 91
- 37.36°, I 100
- 43.90°, I 54
- 58.98°, I 40
- 60.14°, I 9
- 65.62°, I 16
- 67.39°, I 19
- 72.98°, I 28
- 78.02°, I 18
- 79.68°, I 11

Cell: 5.558 5.558 3.077 Å, 90.00 90.00 120.00°
Fractional coordinates of all 6 atoms:
Th (0.000, 0.000, 0.000)
B (0.333, 0.667, 0.000)
B (0.667, 0.333, 0.000)
Ru (0.000, 0.500, 0.500)
Ru (0.500, 0.000, 0.500)
Ru (0.500, 0.500, 0.500)



> Which formula does entry 6 have?

TaBRu



Please write out number 1 again, unchanged.
The following is a calculated XRD peak list of B8Ru11. It was derived from DFT lattice parameters and positions (PBE), using Cu Kα (weighted mean of Kα1 and Kα2).
No peak broadening, texture or thermal motion is included.

Principal peaks in the range 2θ from 10° to 90°, sorted by position:
- 32.13°, I 58
- 35.60°, I 44
- 37.98°, I 87
- 38.21°, I 69
- 38.40°, I 62
- 39.37°, I 44
- 39.69°, I 86
- 41.51°, I 80
- 43.66°, I 46
- 44.40°, I 100
- 45.33°, I 63
- 46.88°, I 50

Cell: 11.676 11.966 2.876 Å, 90.00 90.00 90.00°
Fractional coordinates of all 38 atoms:
B (0.122, 0.187, 0.000)
B (0.147, 0.521, 0.500)
B (0.149, 0.817, 0.500)
B (0.203, 0.233, 0.500)
B (0.297, 0.733, 0.500)
B (0.351, 0.317, 0.500)
B (0.353, 0.021, 0.500)
B (0.378, 0.687, 0.000)
B (0.622, 0.313, 0.000)
B (0.647, 0.979, 0.500)
B (0.649, 0.683, 0.500)
B (0.703, 0.267, 0.500)
B (0.797, 0.767, 0.500)
B (0.851, 0.183, 0.500)
B (0.853, 0.479, 0.500)
B (0.878, 0.813, 0.000)
Ru (0.000, 0.500, 0.000)
Ru (0.032, 0.300, 0.500)
Ru (0.044, 0.897, 0.000)
Ru (0.164, 0.047, 0.500)
Ru (0.168, 0.671, 0.000)
Ru (0.215, 0.384, 0.000)
Ru (0.285, 0.884, 0.000)
Ru (0.332, 0.171, 0.000)
Ru (0.336, 0.547, 0.500)
Ru (0.456, 0.397, 0.000)
Ru (0.468, 0.800, 0.500)
Ru (0.500, 0.000, 0.000)
Ru (0.532, 0.200, 0.500)
Ru (0.544, 0.603, 0.000)
Ru (0.664, 0.453, 0.500)
Ru (0.668, 0.829, 0.000)
Ru (0.715, 0.116, 0.000)
Ru (0.785, 0.616, 0.000)
Ru (0.832, 0.329, 0.000)
Ru (0.836, 0.953, 0.500)
Ru (0.956, 0.103, 0.000)
Ru (0.968, 0.700, 0.500)